Simulated XRD peak list
Compound: Ce2PmZrP4
Radiation: CuKα
Structure: a structure optimized by DFT (PBE)

Peak list (10 most intense, 10 to 90 degrees two-theta, sorted by position)
d/Å, I_rel, hkl
3.267, 72.9, 0 0 2
2.829, 100.0, 1 1 1
2.002, 35.9, 1 1 -3
1.999, 35.9, 0 2 0
1.708, 14.8, 1 1 3
1.705, 20.4, 4 0 -2
1.633, 18.7, 2 2 -2
1.415, 11.4, 2 2 2
1.267, 10.4, 0 2 4
1.265, 21.0, 1 3 1

Crystal structure
```
Ce2PmZrP4
1.0
6.924 0.000 0.000
0.000 3.997 0.000
-2.297 0.000 6.546
Ce Pm Zr P
2 1 1 4
Direct
0.000 0.000 0.000 Ce
0.000 0.500 0.500 Ce
0.500 0.000 0.500 Pm
0.500 0.500 0.000 Zr
0.254 0.500 0.239 P
0.262 0.000 0.765 P
0.738 0.000 0.235 P
0.746 0.500 0.761 P
```